(1)
Starting from a GGA-PBE-relaxed structure, the X-ray diffraction stick pattern of UZn20Co2 was calculated for λ = 1.5418 Å (Cu Kα).
No peak broadening, texture or thermal motion is included.

Peak list (8 most intense, 10° ≤ 2θ ≤ 90°, in order of falling intensity)
2theta, I/Imax
38.1, 100
42.4, 67
42.9, 51
40.8, 47
77.2, 34
55.8, 29
66.6, 19
78.3, 17

Crystal structure
```
UZn20Co2
1.0
0.000 6.987 6.987
6.987 0.000 6.987
6.987 6.987 0.000
U Zn Co
2 40 4
Cartesian
1.747 1.747 1.747
12.227 12.227 12.227
0.000 0.000 0.000
3.494 3.494 0.000
3.494 0.000 3.494
4.536 2.657 2.657
7.823 5.945 2.657
7.823 2.657 5.945
9.438 6.151 6.151
11.317 8.029 6.151
11.317 6.151 8.029
5.240 5.240 3.331
5.240 3.331 5.240
7.150 5.240 5.240
2.657 4.536 2.657
5.945 7.823 2.657
2.657 2.657 4.536
7.823 7.823 4.536
5.945 2.657 7.823
7.823 4.536 7.823
8.734 8.734 6.824
8.734 6.824 8.734
10.643 8.734 8.734
0.000 3.494 3.494
3.331 5.240 5.240
5.240 7.150 5.240
5.240 5.240 7.150
6.151 9.438 6.151
8.029 11.317 6.151
6.151 6.151 9.438
11.317 11.317 9.438
8.029 6.151 11.317
11.317 9.438 11.317
6.824 8.734 8.734
8.734 10.643 8.734
8.734 8.734 10.643
2.657 7.823 5.945
2.657 5.945 7.823
4.536 7.823 7.823
6.151 11.317 8.029
6.151 8.029 11.317
9.438 11.317 11.317
6.987 3.494 3.494
3.494 6.987 3.494
3.494 3.494 6.987
6.987 6.987 6.987
```

(2)
Starting from a GGA-PBE-relaxed structure, the X-ray diffraction stick pattern of Hf3Tl2Si3 was calculated for λ = 1.5418 Å (Cu Kα).
No peak broadening, texture or thermal motion is included.

Peak list (8 most intense, 10° ≤ 2θ ≤ 90°, in order of falling intensity)
2theta, I/Imax
26.0, 100
34.2, 85
25.4, 63
40.2, 55
38.4, 53
27.8, 52
36.6, 51
43.0, 48

Crystal structure
```
Hf3Tl2Si3
1.0
3.513 0.000 0.000
0.000 3.513 0.000
0.000 0.000 15.762
Hf Tl Si
3 2 3
Cartesian
0.000 0.000 0.000
0.000 0.000 2.794
0.000 0.000 12.968
0.000 1.756 10.468
1.756 0.000 5.295
0.000 0.000 7.881
1.756 1.756 0.000
1.756 1.756 7.881
```

(3)
Starting from a GGA-PBE-relaxed structure, the X-ray diffraction stick pattern of ErHgSO was calculated for λ = 1.5418 Å (Cu Kα).
No peak broadening, texture or thermal motion is included.

Peak list (8 most intense, 10° ≤ 2θ ≤ 90°, in order of falling intensity)
2theta, I/Imax
30.9, 100
30.4, 94
26.3, 62
33.1, 47
46.4, 47
26.7, 45
17.4, 37
21.3, 37

Crystal structure
```
ErHgSO
1.0
5.532 0.000 0.000
0.000 5.539 0.000
-0.309 0.000 13.126
Er Hg S O
4 4 4 4
Cartesian
-0.011 0.000 1.070
2.461 0.006 12.040
2.762 2.776 1.085
5.235 2.769 12.056
0.617 1.511 6.524
2.680 0.082 3.460
2.543 2.851 9.666
4.606 4.280 6.602
1.029 1.733 3.094
0.893 1.200 9.989
4.330 3.970 3.137
4.194 4.502 10.031
1.383 4.152 0.000
1.401 1.377 0.000
4.131 4.146 0.000
4.149 1.382 0.000
```

(4)
Starting from a GGA-PBE-relaxed structure, the X-ray diffraction stick pattern of HfTaNO3 was calculated for λ = 1.5418 Å (Cu Kα).
No peak broadening, texture or thermal motion is included.

Peak list (8 most intense, 10° ≤ 2θ ≤ 90°, in order of falling intensity)
2theta, I/Imax
32.1, 100
35.2, 90
31.1, 52
32.3, 48
45.5, 46
51.1, 26
67.3, 25
57.5, 25

Crystal structure
```
HfTaNO3
1.0
3.212 0.000 0.000
0.000 5.539 0.000
0.000 0.000 6.450
Hf Ta N O
2 2 2 6
Cartesian
0.000 0.116 0.000
1.606 5.423 3.225
0.000 2.676 1.729
1.606 2.863 4.954
0.000 3.865 3.596
1.606 1.673 0.371
0.000 0.549 2.032
0.000 1.388 4.747
0.000 3.483 6.212
1.606 2.056 2.987
1.606 4.150 1.522
1.606 4.990 5.257
```